Calculated PXRD pattern of TbCe4S5 for Cu Kα, from a cell relaxed with PBE.

Top 8 peaks for 10 to 80 degrees two-theta, sorted by position:
Position (°2θ)	intensity	h k l
27.31	74	1 2 1
31.64	100	3 1 0
45.35	72	3 1 2
53.75	36	5 0 1
56.35	25	2 4 2
66.08	11	0 0 4
72.90	15	5 0 3
75.12	32	3 1 4

Cell and atoms:
Cell: 8.9420 8.9420 5.6566 Å, 90.00 90.00 90.00°
Space group I4/m (No. 87)
Unique sites:
Tb 0.0000 0.0000 0.0000 [2 per cell]
Ce 0.0993 0.6990 0.5000 [8 per cell]
S 0.0000 0.0000 0.5000 [2 per cell]
S 0.0993 0.7048 0.0000 [8 per cell]

---

Calculated PXRD pattern of Ba4SmTe5 for Cu Kα, from a cell relaxed with PBE.

Top 10 peaks for 10 to 80 degrees two-theta, sorted by position:
Position (°2θ)	intensity	h k l
25.79	100	1 1 0
36.80	77	2 0 0
40.82	1	1 1 12
45.48	28	2 0 10
53.02	13	2 2 0
54.75	1	1 1 18
59.86	25	3 1 0
59.91	10	1 1 20
66.28	25	3 1 10
78.29	8	4 0 0

Cell and atoms:
Cell: 4.8865 4.8865 34.5171 Å, 90.00 90.00 90.00°
Space group I4/mmm (No. 139)
Unique sites:
Ba 0.0000 0.0000 0.0978 [4 per cell]
Ba 0.0000 0.0000 0.3019 [4 per cell]
Sm 0.0000 0.0000 0.5000 [2 per cell]
Te 0.0000 0.0000 0.0000 [2 per cell]
Te 0.0000 0.0000 0.1994 [4 per cell]
Te 0.0000 0.0000 0.4076 [4 per cell]

---

> Number 2 is which compound?

Ba4SmTe5

---

> Which formula does entry 2 have?

Ba4SmTe5